Calculated X-ray diffraction stick pattern
Compound: Ca3SiO4F
Radiation: copper Kα
Structure: a GGA-PBE-relaxed structure
No peak broadening, texture or thermal motion is included.

Most intense lines, 10 to 80 degrees two-theta, sorted by position:
2θ = 28.00°, d 3.186, I = 32, hkl 0 2 2; 2θ = 28.81°, d 3.099, I = 19, hkl 0 0 4; 2θ = 32.51°, d 2.754, I = 100, hkl 2 0 0; 2θ = 33.18°, d 2.700, I = 25, hkl 1 0 4; 2θ = 43.47°, d 2.082, I = 26, hkl 2 2 2; 2θ = 44.03°, d 2.057, I = 14, hkl 2 0 4; 2θ = 49.04°, d 1.858, I = 18, hkl 0 4 0; 2θ = 50.55°, d 1.806, I = 31, hkl 0 2 6; 2θ = 58.05°, d 1.589, I = 20, hkl 3 2 2; 2θ = 61.43°, d 1.509, I = 16, hkl 2 2 6

Cell and atoms:
Lattice parameters (Å, degrees): 5.4989 7.4301 12.3964 90.00 90.00 90.00
Space group Pnma (No. 62)
Inequivalent atoms, fractional coordinates:
Ca (0.2411, 0.0061, 0.1625) x8
Ca (0.2484, 0.2500, 0.4195) x4
Si (0.2206, 0.7500, 0.4122) x4
O (0.0850, 0.2500, 0.5959) x4
O (0.1639, 0.2500, 0.0368) x4
O (0.1790, 0.0660, 0.8476) x8
F (0.0015, 0.7500, 0.7371) x4